This entry pairs a crystal structure of Na2Tb2ZrS6 with its theoretical powder diffractogram. Radiation: Cu Kα. Structure: a GGA-PBE-relaxed structure.
Intensities are scaled so that the largest is 100.

Principal peaks in the range 5 to 70 degrees two-theta, by angle:
hkl 0 0 1, 13.09 deg, I 100; hkl 2 0 -1, 26.54 deg, I 14; hkl 1 3 0, 26.74 deg, I 29; hkl 1 3 -1, 27.84 deg, I 14; hkl 2 0 -2, 31.68 deg, I 33; hkl 1 3 1, 31.79 deg, I 64; hkl 2 0 -3, 40.97 deg, I 22; hkl 1 3 -3, 44.71 deg, I 23; hkl 3 3 -1, 46.28 deg, I 21; hkl 3 3 -2, 48.31 deg, I 15

Structure:
```
data_Na2Tb2ZrS6
_chemical_formula_sum 'Na4 Tb4 Zr2 S12'
_cell_length_a 6.814
_cell_length_b 11.675
_cell_length_c 7.128
_cell_angle_alpha 90.00
_cell_angle_beta 108.39
_cell_angle_gamma 90.00
_symmetry_space_group_name_H-M 'C 1 2/m 1'
_symmetry_Int_Tables_number 12
loop_
_symmetry_equiv_pos_as_xyz
'x,y,z'
'-x,-y,-z'
'-x,y,-z'
'x,-y,z'
'x+1/2,y+1/2,z'
'-x+1/2,-y+1/2,-z'
'-x+1/2,y+1/2,-z'
'x+1/2,-y+1/2,z'
loop_
_atom_site_label
_atom_site_type_symbol
_atom_site_fract_x
_atom_site_fract_y
_atom_site_fract_z
Na1 Na 0.000 0.168 0.000
Tb1 Tb 0.000 0.334 0.500
Zr1 Zr 0.000 0.000 0.500
S1 S 0.231 0.160 0.719
S2 S 0.240 0.000 0.282
```

***

This entry pairs a crystal structure of Na2TcS with its theoretical powder diffractogram. Radiation: Cu Kα. Structure: a GGA-PBE-relaxed structure.
Intensities are scaled so that the largest is 100.

Principal peaks in the range 5 to 70 degrees two-theta, by angle:
hkl 2 0 0, 17.54 deg, I 100; hkl 2 2 0, 24.90 deg, I 44; hkl 2 1 1, 28.19 deg, I 44; hkl 4 0 0, 35.50 deg, I 22; hkl 4 2 0, 39.86 deg, I 43; hkl 1 1 2, 42.71 deg, I 25; hkl 3 1 2, 50.07 deg, I 30; hkl 6 2 0, 57.64 deg, I 11; hkl 5 1 2, 62.87 deg, I 15; hkl 5 3 2, 68.71 deg, I 12

Structure:
```
data_Na2TcS
_chemical_formula_sum 'Na8 Tc4 S4'
_cell_length_a 10.114
_cell_length_b 10.114
_cell_length_c 4.433
_cell_angle_alpha 90.00
_cell_angle_beta 90.00
_cell_angle_gamma 90.00
_symmetry_space_group_name_H-M 'I -4 2 d'
_symmetry_Int_Tables_number 122
_symmetry_space_group_name_Hall 'I -4 2bw'
loop_
_atom_site_label
_atom_site_type_symbol
_atom_site_fract_x
_atom_site_fract_y
_atom_site_fract_z
Na1 Na 0.101 0.250 0.125
Tc1 Tc 0.000 0.000 0.500
S1 S 0.000 0.000 0.000
```

***

This entry pairs a crystal structure of Na3TeS4 with its theoretical powder diffractogram. Radiation: Cu Kα. Structure: a GGA-PBE-relaxed structure.
Intensities are scaled so that the largest is 100.

Principal peaks in the range 5 to 70 degrees two-theta, by angle:
hkl 1 1 0, 13.00 deg, I 100; hkl 0 2 0, 15.68 deg, I 24; hkl 1 1 1, 27.20 deg, I 23; hkl 0 4 0, 31.67 deg, I 45; hkl 2 0 1, 31.82 deg, I 89; hkl 3 1 1, 40.65 deg, I 16; hkl 4 0 0, 42.39 deg, I 18; hkl 2 4 1, 45.51 deg, I 62; hkl 4 4 0, 53.86 deg, I 16; hkl 0 4 2, 59.24 deg, I 13

Structure:
```
data_Na3TeS4
_chemical_formula_sum 'Na6 Te2 S8'
_cell_length_a 8.529
_cell_length_b 11.302
_cell_length_c 3.741
_cell_angle_alpha 90.00
_cell_angle_beta 90.00
_cell_angle_gamma 90.00
_symmetry_space_group_name_H-M 'C m m m'
_symmetry_Int_Tables_number 65
_symmetry_space_group_name_Hall '-C 2 2'
loop_
_atom_site_label
_atom_site_type_symbol
_atom_site_fract_x
_atom_site_fract_y
_atom_site_fract_z
Na1 Na 0.000 0.000 0.000
Na2 Na 0.250 0.250 0.500
Te1 Te 0.000 0.500 0.000
S1 S 0.000 0.267 0.000
S2 S 0.223 0.500 0.500
```

***

This entry pairs a crystal structure of Na3TeS with its theoretical powder diffractogram. Radiation: Cu Kα. Structure: a GGA-PBE-relaxed structure.
Intensities are scaled so that the largest is 100.

Principal peaks in the range 5 to 70 degrees two-theta, by angle:
hkl 0 0 1, 13.58 deg, I 51; hkl 0 2 0, 21.12 deg, I 77; hkl 1 1 0, 21.33 deg, I 100; hkl 0 1 2, 29.38 deg, I 54; hkl 1 0 -2, 29.51 deg, I 54; hkl 1 2 1, 33.26 deg, I 42; hkl 1 2 -2, 36.58 deg, I 55; hkl 1 3 0, 37.14 deg, I 47; hkl 1 1 2, 38.20 deg, I 42; hkl 0 4 0, 42.97 deg, I 67

Structure:
```
data_Na3TeS
_chemical_formula_sum 'Na6 Te2 S2'
_cell_length_a 4.919
_cell_length_b 8.412
_cell_length_c 6.689
_cell_angle_alpha 90.00
_cell_angle_beta 102.88
_cell_angle_gamma 90.00
_symmetry_space_group_name_H-M 'P 1 21/m 1'
_symmetry_Int_Tables_number 11
loop_
_symmetry_equiv_pos_as_xyz
'x,y,z'
'-x,-y,-z'
'-x,y+1/2,-z'
'x,-y+1/2,z'
loop_
_atom_site_label
_atom_site_type_symbol
_atom_site_fract_x
_atom_site_fract_y
_atom_site_fract_z
Na1 Na 0.190 0.047 0.245
Na2 Na 0.301 0.250 0.758
Te1 Te 0.255 0.750 0.581
S1 S 0.156 0.750 0.051
```

***

This entry pairs a crystal structure of Na3Te4S8 with its theoretical powder diffractogram. Radiation: Cu Kα. Structure: a GGA-PBE-relaxed structure.
Intensities are scaled so that the largest is 100.

Principal peaks in the range 5 to 70 degrees two-theta, by angle:
hkl 1 1 0, 13.38 deg, I 100; hkl 2 0 -1, 16.07 deg, I 26; hkl 0 2 1, 21.88 deg, I 25; hkl 2 2 0, 26.95 deg, I 27; hkl 2 2 -2, 27.57 deg, I 25; hkl 0 4 0, 31.02 deg, I 73; hkl 0 0 2, 31.24 deg, I 72; hkl 4 0 -2, 32.47 deg, I 65; hkl 0 4 2, 44.60 deg, I 50; hkl 4 4 -2, 45.52 deg, I 48

Structure:
```
data_Na3Te4S8
_chemical_formula_sum 'Na6 Te8 S16'
_cell_length_a 11.037
_cell_length_b 11.530
_cell_length_c 7.824
_cell_angle_alpha 90.00
_cell_angle_beta 132.95
_cell_angle_gamma 90.00
_symmetry_space_group_name_H-M 'C 1 2/m 1'
_symmetry_Int_Tables_number 12
loop_
_symmetry_equiv_pos_as_xyz
'x,y,z'
'-x,-y,-z'
'-x,y,-z'
'x,-y,z'
'x+1/2,y+1/2,z'
'-x+1/2,-y+1/2,-z'
'-x+1/2,y+1/2,-z'
'x+1/2,-y+1/2,z'
loop_
_atom_site_label
_atom_site_type_symbol
_atom_site_fract_x
_atom_site_fract_y
_atom_site_fract_z
Na1 Na 0.000 0.000 0.000
Na2 Na 0.250 0.250 0.000
Te1 Te 0.000 0.500 0.000
Te2 Te 0.000 0.500 0.500
Te3 Te 0.250 0.250 0.500
S1 S 0.000 0.263 0.500
S2 S 0.000 0.264 0.000
S3 S 0.223 0.500 0.965
S4 S 0.241 0.500 0.487
```

***

This entry pairs a crystal structure of NaTe2S3 with its theoretical powder diffractogram. Radiation: Cu Kα. Structure: a GGA-PBE-relaxed structure.
Intensities are scaled so that the largest is 100.

Principal peaks in the range 5 to 70 degrees two-theta, by angle:
hkl 1 1 0, 12.18 deg, I 48; hkl 2 0 0, 15.44 deg, I 25; hkl 0 2 0, 18.92 deg, I 100; hkl 2 2 0, 24.51 deg, I 29; hkl 1 1 2, 26.86 deg, I 20; hkl 2 0 2, 28.53 deg, I 20; hkl 3 1 2, 34.92 deg, I 83; hkl 0 4 0, 38.37 deg, I 20; hkl 3 3 2, 44.61 deg, I 47; hkl 6 0 0, 47.52 deg, I 23

Structure:
```
data_NaTe2S3
_chemical_formula_sum 'Na4 Te8 S12'
_cell_length_a 11.476
_cell_length_b 9.383
_cell_length_c 7.464
_cell_angle_alpha 90.00
_cell_angle_beta 90.00
_cell_angle_gamma 90.00
_symmetry_space_group_name_H-M 'C m c m'
_symmetry_Int_Tables_number 63
_symmetry_space_group_name_Hall '-C 2c 2'
loop_
_atom_site_label
_atom_site_type_symbol
_atom_site_fract_x
_atom_site_fract_y
_atom_site_fract_z
Na1 Na 0.000 0.190 0.250
Te1 Te 0.179 0.500 0.000
S1 S 0.000 0.485 0.250
S2 S 0.170 0.024 0.750
```

***

This entry pairs a crystal structure of Na2TmTeS4 with its theoretical powder diffractogram. Radiation: Cu Kα. Structure: a GGA-PBE-relaxed structure.
Intensities are scaled so that the largest is 100.

Principal peaks in the range 5 to 70 degrees two-theta, by angle:
hkl 1 1 0, 13.03 deg, I 97; hkl 1 1 -1, 13.79 deg, I 38; hkl 2 2 0, 26.23 deg, I 51; hkl 2 2 -2, 27.78 deg, I 28; hkl 0 0 2, 29.44 deg, I 61; hkl 0 4 0, 32.20 deg, I 100; hkl 4 0 0, 42.08 deg, I 27; hkl 0 4 2, 44.23 deg, I 38; hkl 4 4 -2, 46.18 deg, I 35; hkl 4 4 0, 54.00 deg, I 29

Structure:
```
data_Na2TmTeS4
_chemical_formula_sum 'Na8 Tm4 Te4 S16'
_cell_length_a 11.180
_cell_length_b 11.104
_cell_length_c 7.901
_cell_angle_alpha 90.00
_cell_angle_beta 129.83
_cell_angle_gamma 90.00
_symmetry_space_group_name_H-M 'C 1 2/c 1'
_symmetry_Int_Tables_number 15
loop_
_symmetry_equiv_pos_as_xyz
'x,y,z'
'-x,-y,-z'
'-x,y,-z+1/2'
'x,-y,z+1/2'
'x+1/2,y+1/2,z'
'-x+1/2,-y+1/2,-z'
'-x+1/2,y+1/2,-z+1/2'
'x+1/2,-y+1/2,z+1/2'
loop_
_atom_site_label
_atom_site_type_symbol
_atom_site_fract_x
_atom_site_fract_y
_atom_site_fract_z
Na1 Na 0.000 0.000 0.000
Na2 Na 0.250 0.250 0.000
Tm1 Tm 0.000 0.500 0.000
Te1 Te 0.250 0.250 0.500
S1 S 0.028 0.257 0.524
S2 S 0.221 0.491 0.453
```

***

This entry pairs a crystal structure of Na5ThS5 with its theoretical powder diffractogram. Radiation: Cu Kα. Structure: a GGA-PBE-relaxed structure.
Intensities are scaled so that the largest is 100.

Principal peaks in the range 5 to 70 degrees two-theta, by angle:
hkl 0 0 1, 11.62 deg, I 100; hkl 2 0 0, 13.83 deg, I 30; hkl 2 0 -1, 15.04 deg, I 51; hkl 1 1 0, 17.20 deg, I 95; hkl 2 0 1, 20.72 deg, I 26; hkl 4 0 -2, 30.36 deg, I 45; hkl 2 0 2, 30.85 deg, I 56; hkl 0 2 0, 31.78 deg, I 43; hkl 4 2 -2, 44.52 deg, I 30; hkl 2 2 2, 44.87 deg, I 30

Structure:
```
data_Na5ThS5
_chemical_formula_sum 'Na10 Th2 S10'
_cell_length_a 13.478
_cell_length_b 5.631
_cell_length_c 8.016
_cell_angle_alpha 90.00
_cell_angle_beta 108.18
_cell_angle_gamma 90.00
_symmetry_space_group_name_H-M 'C 1 2/m 1'
_symmetry_Int_Tables_number 12
loop_
_symmetry_equiv_pos_as_xyz
'x,y,z'
'-x,-y,-z'
'-x,y,-z'
'x,-y,z'
'x+1/2,y+1/2,z'
'-x+1/2,-y+1/2,-z'
'-x+1/2,y+1/2,-z'
'x+1/2,-y+1/2,z'
loop_
_atom_site_label
_atom_site_type_symbol
_atom_site_fract_x
_atom_site_fract_y
_atom_site_fract_z
Na1 Na 0.000 0.000 0.000
Na2 Na 0.184 0.500 0.361
Na3 Na 0.194 0.500 0.828
Th1 Th 0.000 0.000 0.500
S1 S 0.000 0.500 0.500
S2 S 0.147 0.000 0.325
S3 S 0.157 0.000 0.822
```